(1)
Cu7H9S4N4: computed PXRD pattern (Cu Ka), based on a GGA-PBE-relaxed structure.
No peak broadening, texture or thermal motion is included.

```
Cu7H9S4N4
1.0
6.8337 0.0000 0.0000
0.0000 8.1921 0.0000
-2.0040 0.0000 10.3004
Cu H S N
14 18 8 8
Direct
0.0498 0.0000 0.3734 Cu
0.0847 0.0026 0.6312 Cu
0.2005 0.3223 0.5196 Cu
0.2154 0.6511 0.5274 Cu
0.4252 0.9803 0.4956 Cu
0.4293 0.2426 0.3559 Cu
0.4398 0.7197 0.3587 Cu
0.5602 0.2197 0.6413 Cu
0.5707 0.7426 0.6441 Cu
0.5748 0.4803 0.5044 Cu
0.7846 0.1511 0.4726 Cu
0.7995 0.8223 0.4804 Cu
0.9153 0.5026 0.3688 Cu
0.9502 0.5000 0.6266 Cu
0.0038 0.5226 0.0376 H
0.1632 0.6465 0.8880 H
0.2051 0.7480 0.0261 H
0.2068 0.3965 0.0112 H
0.2306 0.5169 0.1463 H
0.2351 0.2167 0.8502 H
0.2938 0.0785 0.1026 H
0.3365 0.9813 0.9715 H
0.4469 0.2282 0.9569 H
0.5531 0.7282 0.0431 H
0.6635 0.4813 0.0285 H
0.7062 0.5785 0.8974 H
0.7649 0.7167 0.1498 H
0.7694 0.0169 0.8537 H
0.7932 0.8965 0.9888 H
0.7949 0.2480 0.9739 H
0.8368 0.1465 0.1120 H
0.9962 0.0226 0.9624 H
0.0869 0.2552 0.3090 S
0.0962 0.7390 0.3264 S
0.4020 0.4804 0.6699 S
0.4158 0.9815 0.7084 S
0.5842 0.4815 0.2916 S
0.5980 0.9804 0.3301 S
0.9038 0.2390 0.6736 S
0.9131 0.7552 0.6910 S
0.1632 0.5113 0.0489 N
0.2438 0.6439 0.9824 N
0.2489 0.0690 0.0033 N
0.2938 0.2239 0.9484 N
0.7062 0.7239 0.0516 N
0.7511 0.5690 0.9967 N
0.7562 0.1439 0.0176 N
0.8368 0.0113 0.9511 N
```

Largest 10 diffraction maxima, most intense first, 5 to 70 degrees two-theta:
(hkl), 2theta, Rel. int.
0 0 1, 8.58, 100.0
1 2 -4, 41.42, 8.3
2 0 3, 41.10, 4.1
1 2 -5, 49.04, 3.8
1 2 -3, 34.75, 3.3
3 2 -1, 45.58, 3.2
1 3 0, 35.49, 3.0
0 0 2, 17.22, 2.9
2 0 4, 48.53, 2.8
0 0 3, 25.95, 2.7

=====

(2)
Ga2Te3: computed PXRD pattern (Cu Ka), based on a GGA-PBE-relaxed structure.
No peak broadening, texture or thermal motion is included.

```
Ga2Te3
1.0
4.2369 0.0000 0.0000
0.0000 12.8469 0.0000
0.0000 0.0000 6.2654
Ga Te
4 6
Direct
0.0000 0.1625 0.0000 Ga
0.0000 0.8375 0.0000 Ga
0.5000 0.3375 0.5000 Ga
0.5000 0.6625 0.5000 Ga
0.0000 0.0000 0.7566 Te
0.0000 0.3388 0.7703 Te
0.0000 0.6612 0.7703 Te
0.5000 0.1612 0.2703 Te
0.5000 0.5000 0.2566 Te
0.5000 0.8388 0.2703 Te
```

Largest 10 diffraction maxima, most intense first, 5 to 70 degrees two-theta:
(hkl), 2theta, Rel. int.
1 0 1, 25.38, 100.0
0 3 1, 25.19, 88.4
1 3 2, 41.60, 82.3
1 6 1, 49.89, 30.3
2 3 1, 50.20, 26.5
1 3 0, 29.66, 19.6
0 6 0, 42.21, 19.6
2 0 0, 42.68, 19.5
0 3 3, 48.50, 18.7
2 3 3, 66.56, 14.4

=====

(3)
CrPb2: computed PXRD pattern (Cu Ka), based on a GGA-PBE-relaxed structure.
No peak broadening, texture or thermal motion is included.

```
CrPb2
1.0
11.4621 0.0000 0.0000
0.0000 4.9841 0.0000
-3.1957 0.0000 5.6114
Cr Pb
4 8
Direct
0.1733 0.0000 0.1052 Cr
0.3267 0.5000 0.8948 Cr
0.6733 0.5000 0.1052 Cr
0.8267 0.0000 0.8948 Cr
0.0340 0.5000 0.7902 Pb
0.1756 0.0000 0.6078 Pb
0.3244 0.5000 0.3922 Pb
0.4660 0.0000 0.2098 Pb
0.5340 0.0000 0.7902 Pb
0.6756 0.5000 0.6078 Pb
0.8244 0.0000 0.3922 Pb
0.9660 0.5000 0.2098 Pb
```

Largest 10 diffraction maxima, most intense first, 5 to 70 degrees two-theta:
(hkl), 2theta, Rel. int.
1 1 -2, 33.77, 100.0
3 1 0, 32.40, 98.2
4 0 -2, 34.34, 48.5
0 2 0, 36.04, 45.9
4 2 -2, 50.63, 32.6
3 1 -1, 29.57, 30.6
1 1 -1, 22.56, 27.6
2 0 1, 29.28, 27.0
7 1 -2, 59.39, 26.5
5 1 -4, 61.99, 18.2